This entry pairs a crystal structure of CaAl2H4Pb2O4F6 with its simulated powder diffractogram. Radiation: Cu Kα. Structure: a structure optimized by DFT (GGA-PBE).

Main lines, by angle (10° ≤ 2θ ≤ 90°):
2θ (°), I (rel.)
12.79, 40.6
13.06, 100.0
18.42, 88.3
19.57, 81.0
21.49, 83.7
23.73, 76.3
25.73, 42.6
26.25, 63.0
34.63, 44.1
34.85, 48.8

Cell and atoms:
```
19
Lattice="4.9840 0.0000 0.0000 0.1891 7.7607 0.0000 1.9336 3.8301 6.9236" Properties=species:S:1:pos:R:3 pbc="T T T"
Ca 0.0000 0.0000 0.0000
Al 4.0473 3.5285 4.5001
Al 4.9909 2.1626 2.0875
H 1.4181 9.9943 4.3508
H 2.5769 3.1292 2.3487
H 3.1730 8.4974 2.0618
H 5.7961 5.3211 3.7196
Pb 3.5113 7.1704 4.5749
Pb 3.3742 5.6262 1.8764
O 3.5109 3.2698 2.6775
O 4.1127 8.2715 2.2824
O 4.8326 5.2270 3.8882
O 5.3238 2.2999 3.9431
F 1.1469 3.5314 1.7483
F 1.3431 0.9484 1.6644
F 2.6757 4.6751 4.9919
F 3.0103 10.0228 5.1852
F 4.7502 3.6426 6.1816
F 4.4790 2.1622 0.3421
```



This entry pairs a crystal structure of NaPrHfZrO6 with its simulated powder diffractogram. Radiation: Cu Kα. Structure: a structure optimized by DFT (GGA-PBE).

Main lines, by angle (10° ≤ 2θ ≤ 90°):
2θ (°), I (rel.)
18.60, 28.4
21.50, 14.5
30.60, 100.0
36.04, 16.5
43.82, 32.3
47.98, 7.4
54.39, 40.5
63.70, 19.8
72.31, 17.4
88.54, 21.3

Cell and atoms:
```
10
Lattice="0.0000 4.1322 4.1322 4.1322 0.0000 4.1322 4.1322 4.1322 0.0000" Properties=species:S:1:pos:R:3 pbc="T T T"
Na 0.0000 0.0000 0.0000
Pr 4.1322 4.1322 4.1322
Hf 2.0661 2.0661 2.0661
Zr 6.1983 6.1983 6.1983
O 2.0661 2.0661 0.0144
O 2.0661 0.0144 2.0661
O 4.1178 2.0661 2.0661
O 0.0144 2.0661 2.0661
O 2.0661 4.1178 2.0661
O 2.0661 2.0661 4.1178
```



This entry pairs a crystal structure of CaC2S2O6F6 with its simulated powder diffractogram. Radiation: Cu Kα. Structure: a structure optimized by DFT (GGA-PBE).

Main lines, by angle (10° ≤ 2θ ≤ 90°):
2θ (°), I (rel.)
17.98, 9.2
18.64, 45.7
21.08, 100.0
31.01, 7.5
32.20, 8.6
33.70, 14.9
34.25, 13.9
42.92, 17.7
44.25, 9.9
49.67, 12.2

Cell and atoms:
```
17
Lattice="2.8835 1.6648 10.4717 -2.8835 1.6648 10.4717 0.0000 -3.3296 10.4717" Properties=species:S:1:pos:R:3 pbc="T T T"
Ca 0.0000 0.0000 0.0000
C 0.0000 0.0000 6.9080
C 0.0000 0.0000 24.5070
S 0.0000 0.0000 8.7800
S 0.0000 0.0000 22.6349
O -0.0122 -1.4145 9.1378
O -1.2189 0.7178 9.1378
O -1.2310 -0.6967 22.2771
O 1.2310 0.6967 9.1378
O 1.2189 -0.7178 22.2771
O 0.0122 1.4145 22.2771
F -1.9355 -0.8196 14.4922
F -0.2580 -2.0860 16.9228
F -1.6776 1.2664 16.9228
F 1.6776 -1.2664 14.4922
F 0.2580 2.0860 14.4922
F 1.9355 0.8196 16.9228
```



This entry pairs a crystal structure of TmIn7Cu5 with its simulated powder diffractogram. Radiation: Cu Kα. Structure: a structure optimized by DFT (GGA-PBE).

Main lines, by angle (10° ≤ 2θ ≤ 90°):
2θ (°), I (rel.)
31.84, 32.3
32.60, 67.0
37.23, 50.3
37.90, 100.0
38.13, 47.0
42.02, 45.1
42.82, 16.6
60.78, 24.2
66.57, 16.5
68.76, 26.6

Cell and atoms:
```
13
Lattice="-2.8106 4.7260 4.7166 2.8106 -4.7260 4.7166 2.8106 4.7260 -4.7166" Properties=species:S:1:pos:R:3 pbc="T T T"
Tm 0.0000 0.0000 0.0000
In 2.8106 1.8714 0.0975
In 2.8106 -1.5244 4.5909
In 0.0000 0.0000 3.1309
In 2.8106 1.5244 4.5909
In 0.0000 0.0000 6.1936
In 0.0000 4.7260 2.5621
In 0.0000 2.8546 4.8142
Cu 1.4222 2.4122 -2.3623
Cu 1.3884 -2.3138 2.3543
Cu 2.8106 0.0000 2.1250
Cu 1.4222 7.0398 -2.3623
Cu 1.3884 2.3138 2.3543
```



This entry pairs a crystal structure of BaLa2Se4 with its simulated powder diffractogram. Radiation: Cu Kα. Structure: a structure optimized by DFT (GGA-PBE).

Main lines, by angle (10° ≤ 2θ ≤ 90°):
2θ (°), I (rel.)
23.38, 35.5
30.28, 100.0
30.44, 52.3
36.02, 73.3
36.13, 27.8
43.36, 23.6
45.66, 24.5
49.96, 19.3
61.23, 31.8
74.75, 15.2

Cell and atoms:
```
14
Lattice="-4.6691 4.6691 4.6401 4.6691 -4.6691 4.6401 4.6691 4.6691 -4.6401" Properties=species:S:1:pos:R:3 pbc="T T T"
Ba 0.0000 0.0000 0.0000
Ba 0.0000 4.6691 2.3201
La 2.3346 3.4893 -1.1600
La 5.8490 2.3346 1.1600
La 2.3346 1.1799 3.4801
La -1.1799 2.3346 5.8001
Se 3.1003 0.7311 0.5741
Se 5.4002 3.1003 -1.7459
Se 3.9380 -1.5688 4.0660
Se -0.7311 1.5688 2.8942
Se 0.7311 6.2379 -0.5741
Se 3.1003 3.9380 1.7459
Se 1.5688 0.7311 6.3860
Se 1.5688 3.9380 5.2143
```



This entry pairs a crystal structure of Pr5Sn3Au with its simulated powder diffractogram. Radiation: Cu Kα. Structure: a structure optimized by DFT (GGA-PBE).

Main lines, by angle (10° ≤ 2θ ≤ 90°):
2θ (°), I (rel.)
10.60, 9.7
31.21, 43.8
32.06, 100.0
32.17, 72.9
41.16, 9.9
46.05, 29.2
49.26, 12.4
53.50, 9.5
57.30, 23.5
63.81, 20.7

Cell and atoms:
```
18
Lattice="9.6382 0.0000 0.0000 -4.8191 8.3469 0.0000 0.0000 0.0000 6.8514" Properties=species:S:1:pos:R:3 pbc="T T T"
Pr -1.3005 2.2526 1.7128
Pr -3.5186 6.0943 5.1385
Pr 2.6010 0.0000 1.7128
Pr 1.3005 2.2526 5.1385
Pr 0.0000 5.5646 0.0000
Pr 0.0000 5.5646 3.4257
Pr 4.8191 2.7823 0.0000
Pr 4.8191 2.7823 3.4257
Pr 7.0371 0.0000 5.1385
Pr 3.5186 6.0943 1.7128
Sn -1.8379 3.1833 5.1385
Sn -2.9812 5.1636 1.7128
Sn 3.6758 0.0000 5.1385
Sn 1.8379 3.1833 1.7128
Sn 5.9624 0.0000 1.7128
Sn 2.9812 5.1636 5.1385
Au 0.0000 0.0000 0.0000
Au 0.0000 0.0000 3.4257
```



This entry pairs a crystal structure of TbMg2Cu9 with its simulated powder diffractogram. Radiation: Cu Kα. Structure: a structure optimized by DFT (GGA-PBE).

Main lines, by angle (10° ≤ 2θ ≤ 90°):
2θ (°), I (rel.)
10.95, 42.5
26.39, 24.3
34.63, 23.4
35.88, 21.6
37.62, 16.3
42.06, 40.3
42.49, 100.0
44.89, 29.3
69.02, 21.9
76.05, 19.1

Cell and atoms:
```
24
Lattice="5.0062 0.0000 0.0000 -2.5031 4.3355 0.0000 0.0000 0.0000 16.1539" Properties=species:S:1:pos:R:3 pbc="T T T"
Tb 0.0000 2.8903 4.0385
Tb 2.5031 1.4452 12.1154
Mg 0.0000 2.8903 0.5190
Mg 0.0000 2.8903 7.5580
Mg 2.5031 1.4452 8.5959
Mg 2.5031 1.4452 15.6349
Cu 0.0000 0.0000 0.0000
Cu 0.0000 0.0000 4.0385
Cu 0.0000 0.0000 8.0770
Cu 0.0000 0.0000 12.1154
Cu 0.0000 1.4559 10.0670
Cu 0.0000 1.4559 14.1639
Cu -1.2422 3.6075 10.0670
Cu -1.2422 3.6075 14.1639
Cu 0.0000 2.8903 12.1154
Cu 1.2609 0.7280 1.9900
Cu 1.2609 0.7280 6.0869
Cu 1.2422 3.6075 10.0670
Cu 1.2422 3.6075 14.1639
Cu 2.5031 1.4452 4.0385
Cu 3.7453 0.7280 1.9900
Cu 3.7453 0.7280 6.0869
Cu 2.5031 2.8796 1.9900
Cu 2.5031 2.8796 6.0869
```



This entry pairs a crystal structure of Al4Si19 with its simulated powder diffractogram. Radiation: Cu Kα. Structure: a structure optimized by DFT (GGA-PBE).

Main lines, by angle (10° ≤ 2θ ≤ 90°):
2θ (°), I (rel.)
17.11, 44.7
18.91, 59.7
19.08, 100.0
19.22, 89.3
20.97, 64.2
21.07, 65.1
29.93, 44.5
32.32, 63.2
32.42, 43.7
51.53, 37.1

Cell and atoms:
```
46
Lattice="10.3351 0.0000 0.0000 0.1141 10.3928 0.0000 0.1016 0.1772 10.4713" Properties=species:S:1:pos:R:3 pbc="T T T"
Al 0.0000 0.0000 0.0000
Al 0.1082 6.6259 2.0384
Al 2.7954 4.1015 7.2185
Al 3.3649 9.2630 8.4425
Al 5.2670 7.1883 0.7738
Al 5.3679 9.2492 4.5956
Al 8.4178 2.7449 1.9398
Al 9.2252 2.1093 7.1726
Si 0.1513 8.0840 4.0216
Si 0.1991 10.4499 4.0027
Si 0.1767 1.4004 2.0467
Si 1.2466 6.0703 7.1672
Si 1.3527 2.0730 7.1215
Si 1.9634 7.2257 9.1254
Si 2.0083 7.3276 5.2847
Si 2.0048 0.7392 5.2649
Si 2.0830 1.0373 9.0963
Si 2.1096 5.1302 2.0389
Si 2.1088 2.7689 2.0377
Si 3.2787 9.1978 5.9766
Si 3.2928 5.7688 0.0734
Si 3.3879 5.9075 3.9208
Si 3.3377 2.1391 0.0911
Si 3.4123 2.1319 3.9121
Si 4.1602 4.0182 5.1466
Si 4.2069 4.1394 9.2678
Si 5.2653 7.1554 3.2181
Si 5.2048 0.8259 0.7358
Si 5.2487 0.8810 3.1189
Si 5.4262 9.4176 9.8496
Si 6.5183 4.0398 5.2052
Si 6.5728 4.1336 9.2088
Si 7.0921 2.0966 3.9819
Si 7.1749 2.1990 10.4490
Si 7.1755 5.9533 3.9227
Si 7.3397 9.2644 8.4203
Si 7.2399 5.8003 0.0106
Si 7.3846 9.2233 6.0477
Si 7.8199 4.1647 7.1923
Si 8.3797 5.2292 1.9880
Si 8.4223 0.7605 9.1014
Si 8.4998 0.6691 5.2421
Si 8.6146 7.3624 9.0620
Si 8.5966 7.3571 5.2563
Si 9.2173 6.0882 7.1542
Si 10.4728 8.0681 10.3110
```